Entry 1:
Starting from the GGA+U geometry in Alexandria, the PXRD pattern of Ca2FeCuSO3 was computed for λ = 1.5418 Å (Cu Kα).
No peak broadening, texture or thermal motion is included.

Crystal structure
Cell lengths 3.8770, 3.8770, 14.8889 Å; angles 90.00, 90.00, 90.00 degrees
Element x y z (fractional)
Ca 0.2500 0.2500 0.0862
Ca 0.2500 0.2500 0.3120
Ca 0.7500 0.7500 0.6880
Ca 0.7500 0.7500 0.9138
Fe 0.2500 0.2500 0.8076
Fe 0.7500 0.7500 0.1924
Cu 0.2500 0.7500 0.5000
Cu 0.7500 0.2500 0.5000
S 0.2500 0.2500 0.5964
S 0.7500 0.7500 0.4036
O 0.2500 0.2500 0.9364
O 0.2500 0.7500 0.2143
O 0.2500 0.7500 0.7857
O 0.7500 0.2500 0.2143
O 0.7500 0.2500 0.7857
O 0.7500 0.7500 0.0636

Main lines, low angle first (15° ≤ 2θ ≤ 90°):
index	2θ (°)	I/Imax
0 0 3	17.9	50
1 1 1	33.2	42
1 0 4	33.4	100
1 1 2	34.9	22
1 1 3	37.5	28
1 1 4	40.9	47
1 0 6	43.3	28
2 0 0	46.9	77
2 1 4	58.7	35
1 1 8	60.1	29

---

Entry 2:
Starting from the GGA+U geometry in Alexandria, the PXRD pattern of CaFe2Cu3Sb2O12 was computed for λ = 1.5418 Å (Cu Kα).
No peak broadening, texture or thermal motion is included.

Crystal structure
Cell lengths 7.5973, 7.5973, 7.5973 Å; angles 90.00, 90.00, 90.00 degrees
Element x y z (fractional)
Ca 0.2500 0.2500 0.2500
Ca 0.7500 0.7500 0.7500
Fe 0.0000 0.0000 0.0000
Fe 0.0000 0.5000 0.5000
Fe 0.5000 0.0000 0.5000
Fe 0.5000 0.5000 0.0000
Cu 0.2500 0.2500 0.7500
Cu 0.2500 0.7500 0.2500
Cu 0.2500 0.7500 0.7500
Cu 0.7500 0.2500 0.2500
Cu 0.7500 0.2500 0.7500
Cu 0.7500 0.7500 0.2500
Sb 0.0000 0.0000 0.5000
Sb 0.0000 0.5000 0.0000
Sb 0.5000 0.0000 0.0000
Sb 0.5000 0.5000 0.5000
O 0.0544 0.7479 0.9246
O 0.0544 0.7521 0.5754
O 0.0754 0.5544 0.2479
O 0.0754 0.9456 0.2521
O 0.2479 0.0754 0.5544
O 0.2479 0.4246 0.9456
O 0.2521 0.0754 0.9456
O 0.2521 0.4246 0.5544
O 0.4246 0.5544 0.2521
O 0.4246 0.9456 0.2479
O 0.4456 0.7479 0.5754
O 0.4456 0.7521 0.9246
O 0.5544 0.2479 0.0754
O 0.5544 0.2521 0.4246
O 0.5754 0.0544 0.7521
O 0.5754 0.4456 0.7479
O 0.7479 0.5754 0.4456
O 0.7479 0.9246 0.0544
O 0.7521 0.5754 0.0544
O 0.7521 0.9246 0.4456
O 0.9246 0.0544 0.7479
O 0.9246 0.4456 0.7521
O 0.9456 0.2479 0.4246
O 0.9456 0.2521 0.0754

Main lines, low angle first (15° ≤ 2θ ≤ 90°):
index	2θ (°)	I/Imax
1 1 1	20.2	12
2 0 0	23.4	8
2 2 0	33.4	100
3 1 1	39.3	6
4 0 0	47.9	25
4 0 2	54.0	4
4 2 2	59.6	48
4 4 0	70.1	12
6 0 2	79.8	16
4 4 4	89.3	4